# CdHg6Pb
Calculated powder X-ray diffraction pattern, Cu Kα (λ = 1.5418 Å). Input: a DFT-relaxed cell (PBE, Alexandria).

Crystal structure
```
CdHg6Pb
1.0
4.560 0.000 0.000
0.000 4.560 0.000
0.000 0.000 10.052
Cd Hg Pb
1 6 1
Direct
0.000 0.000 0.000
0.000 0.500 0.242
0.000 0.500 0.758
0.500 0.000 0.242
0.500 0.000 0.758
0.500 0.500 0.000
0.500 0.500 0.500
0.000 0.000 0.500
```

Top 12 peaks for 2θ = 10–80°, sorted by position:
2θ = 21.4°, I 1; 2θ = 29.1°, I 1; 2θ = 33.0°, I 100; 2θ = 35.7°, I 20; 2θ = 39.5°, I 31; 2θ = 53.7°, I 1; 2θ = 54.3°, I 24; 2θ = 57.1°, I 11; 2θ = 62.5°, I 16; 2θ = 67.6°, I 26; 2θ = 69.2°, I 12; 2θ = 75.7°, I 2

***

# Ti4TlO7
Calculated powder X-ray diffraction pattern, Cu Kα (λ = 1.5418 Å). Input: a DFT-relaxed cell (PBE, Alexandria).

Crystal structure
```
Ti4TlO7
1.0
14.097 0.000 0.000
0.000 5.464 0.000
0.000 0.000 5.636
Ti Tl O
8 2 14
Direct
0.125 0.197 0.000
0.244 0.358 0.562
0.256 0.642 0.062
0.375 0.803 0.500
0.625 0.803 0.500
0.744 0.642 0.062
0.756 0.358 0.562
0.875 0.197 0.000
0.000 0.567 0.467
0.500 0.433 0.967
0.000 0.263 0.092
0.124 0.252 0.674
0.165 0.879 0.046
0.195 0.379 0.236
0.305 0.621 0.736
0.335 0.121 0.546
0.376 0.748 0.174
0.500 0.737 0.592
0.624 0.748 0.174
0.665 0.121 0.546
0.695 0.621 0.736
0.805 0.379 0.236
0.835 0.879 0.046
0.876 0.252 0.674
```

Top 12 peaks for 2θ = 10–80°, sorted by position:
2θ = 16.2°, I 57; 2θ = 16.9°, I 29; 2θ = 23.5°, I 100; 2θ = 24.7°, I 67; 2θ = 25.0°, I 23; 2θ = 26.0°, I 50; 2θ = 30.2°, I 48; 2θ = 31.8°, I 28; 2θ = 35.6°, I 24; 2θ = 38.1°, I 31; 2θ = 38.8°, I 27; 2θ = 44.4°, I 24

***

# ScTi4N5
Calculated powder X-ray diffraction pattern, Cu Kα (λ = 1.5418 Å). Input: a DFT-relaxed cell (PBE, Alexandria).

Crystal structure
```
ScTi4N5
1.0
-1.519 2.147 7.616
1.519 -2.147 7.616
1.519 2.147 -7.616
Sc Ti N
1 4 5
Direct
0.000 0.000 0.000
0.202 0.202 0.000
0.398 0.398 0.000
0.602 0.602 0.000
0.798 0.798 0.000
0.104 0.604 0.500
0.300 0.800 0.500
0.500 0.000 0.500
0.700 0.200 0.500
0.896 0.396 0.500
```

Top 9 peaks for 2θ = 10–80°, sorted by position:
2θ = 11.6°, I 1; 2θ = 36.2°, I 66; 2θ = 42.0°, I 100; 2θ = 60.8°, I 9; 2θ = 61.0°, I 47; 2θ = 72.9°, I 8; 2θ = 73.0°, I 16; 2θ = 76.7°, I 9; 2θ = 76.9°, I 9

***

# CsSi3Cl12
Calculated powder X-ray diffraction pattern, Cu Kα (λ = 1.5418 Å). Input: a DFT-relaxed cell (PBE, Alexandria).

Crystal structure
```
CsSi3Cl12
1.0
13.305 0.000 0.000
-6.653 11.523 0.000
0.000 0.000 8.932
Cs Si Cl
2 6 24
Direct
0.333 0.667 0.250
0.667 0.333 0.750
0.095 0.706 0.750
0.294 0.390 0.750
0.390 0.095 0.250
0.610 0.905 0.750
0.706 0.610 0.250
0.905 0.294 0.250
0.007 0.475 0.250
0.009 0.221 0.250
0.199 0.757 0.557
0.199 0.757 0.943
0.212 0.991 0.250
0.221 0.212 0.750
0.243 0.441 0.557
0.243 0.441 0.943
0.441 0.199 0.057
0.441 0.199 0.443
0.468 0.993 0.250
0.475 0.468 0.750
0.525 0.532 0.250
0.532 0.007 0.750
0.559 0.801 0.557
0.559 0.801 0.943
0.757 0.559 0.057
0.757 0.559 0.443
0.779 0.788 0.250
0.788 0.009 0.750
0.801 0.243 0.057
0.801 0.243 0.443
0.991 0.779 0.750
0.993 0.525 0.750
```

Top 12 peaks for 2θ = 10–80°, sorted by position:
2θ = 16.6°, I 96; 2θ = 18.3°, I 100; 2θ = 19.9°, I 32; 2θ = 20.4°, I 22; 2θ = 22.7°, I 69; 2θ = 27.9°, I 33; 2θ = 28.6°, I 98; 2θ = 29.7°, I 24; 2θ = 30.7°, I 34; 2θ = 31.0°, I 42; 2θ = 35.7°, I 28; 2θ = 45.9°, I 31

***

# Pr2Er3Ga4
Calculated powder X-ray diffraction pattern, Cu Kα (λ = 1.5418 Å). Input: a DFT-relaxed cell (PBE, Alexandria).

Crystal structure
```
Pr2Er3Ga4
1.0
7.968 0.000 0.000
0.000 7.988 0.000
-2.231 0.000 7.290
Pr Er Ga
4 6 8
Direct
0.192 0.179 0.075
0.192 0.321 0.575
0.808 0.679 0.425
0.808 0.821 0.925
0.243 0.675 0.251
0.243 0.825 0.751
0.500 0.000 0.500
0.500 0.500 0.000
0.757 0.175 0.249
0.757 0.325 0.749
0.080 0.531 0.869
0.080 0.969 0.369
0.496 0.119 0.877
0.496 0.381 0.377
0.504 0.619 0.623
0.504 0.881 0.123
0.920 0.031 0.631
0.920 0.469 0.131
```

Top 12 peaks for 2θ = 10–80°, sorted by position:
2θ = 29.5°, I 16; 2θ = 30.7°, I 20; 2θ = 31.6°, I 15; 2θ = 32.2°, I 100; 2θ = 32.5°, I 41; 2θ = 32.8°, I 19; 2θ = 35.3°, I 18; 2θ = 35.9°, I 30; 2θ = 36.7°, I 22; 2θ = 37.2°, I 46; 2θ = 53.9°, I 20; 2θ = 55.0°, I 16

***

# Ho3AlCu2
Calculated powder X-ray diffraction pattern, Cu Kα (λ = 1.5418 Å). Input: a DFT-relaxed cell (PBE, Alexandria).

Crystal structure
```
Ho3AlCu2
1.0
3.449 0.000 0.000
0.000 3.449 0.000
0.000 0.000 10.803
Ho Al Cu
3 1 2
Direct
0.000 0.000 0.000
0.000 0.000 0.322
0.000 0.000 0.678
0.500 0.500 0.500
0.500 0.500 0.163
0.500 0.500 0.837
```

Top 12 peaks for 2θ = 10–80°, sorted by position:
2θ = 24.7°, I 16; 2θ = 25.8°, I 29; 2θ = 36.1°, I 100; 2θ = 36.9°, I 48; 2θ = 44.9°, I 13; 2θ = 50.7°, I 9; 2θ = 53.1°, I 17; 2θ = 59.4°, I 6; 2θ = 60.0°, I 7; 2θ = 64.3°, I 17; 2θ = 65.9°, I 34; 2θ = 76.5°, I 10

***

# NaTiPdSe2
Calculated powder X-ray diffraction pattern, Cu Kα (λ = 1.5418 Å). Input: a DFT-relaxed cell (PBE, Alexandria).

Crystal structure
```
NaTiPdSe2
1.0
7.063 0.000 0.000
0.000 4.988 0.000
-1.284 0.000 6.223
Na Ti Pd Se
2 2 2 4
Direct
0.000 0.171 0.250
0.000 0.829 0.750
0.500 0.496 0.750
0.500 0.504 0.250
0.500 0.000 0.000
0.500 0.000 0.500
0.239 0.330 0.943
0.239 0.670 0.443
0.761 0.330 0.557
0.761 0.670 0.057
```

Top 12 peaks for 2θ = 10–80°, sorted by position:
2θ = 12.8°, I 100; 2θ = 24.8°, I 35; 2θ = 27.7°, I 48; 2θ = 28.7°, I 24; 2θ = 29.0°, I 32; 2θ = 31.5°, I 34; 2θ = 38.4°, I 27; 2θ = 38.5°, I 43; 2θ = 39.2°, I 36; 2θ = 44.8°, I 29; 2θ = 47.7°, I 20; 2θ = 52.9°, I 19

***

# HoCu5Ag
Calculated powder X-ray diffraction pattern, Cu Kα (λ = 1.5418 Å). Input: a DFT-relaxed cell (PBE, Alexandria).

Crystal structure
```
HoCu5Ag
1.0
8.139 0.000 0.000
0.000 5.031 0.000
0.000 0.000 10.350
Ho Cu Ag
4 20 4
Direct
0.245 0.250 0.065
0.255 0.750 0.565
0.745 0.250 0.435
0.755 0.750 0.935
0.055 0.750 0.104
0.068 0.003 0.313
0.068 0.497 0.313
0.089 0.250 0.517
0.185 0.250 0.746
0.315 0.750 0.246
0.411 0.750 0.017
0.432 0.503 0.813
0.432 0.997 0.813
0.445 0.250 0.604
0.555 0.750 0.396
0.568 0.003 0.187
0.568 0.497 0.187
0.589 0.250 0.983
0.685 0.250 0.754
0.815 0.750 0.254
0.911 0.750 0.483
0.932 0.503 0.687
0.932 0.997 0.687
0.945 0.250 0.896
0.136 0.750 0.861
0.364 0.250 0.361
0.636 0.750 0.639
0.864 0.250 0.139
```

Top 12 peaks for 2θ = 10–80°, sorted by position:
2θ = 31.4°, I 20; 2θ = 35.7°, I 23; 2θ = 36.4°, I 26; 2θ = 37.4°, I 14; 2θ = 38.7°, I 100; 2θ = 39.8°, I 12; 2θ = 42.2°, I 13; 2θ = 43.2°, I 19; 2θ = 45.2°, I 37; 2θ = 46.0°, I 24; 2θ = 66.1°, I 19; 2θ = 71.4°, I 13